Entry 1:
Diffraction record for Ta2P3W4N3. The X-ray powder pattern is simulated, not measured: it uses a DFT-relaxed cell (PBE, OQMD) and Cu Kα.

Peak list (6 most intense, 2θ = 5–70°, low angle first)
two_theta, I/Imax
29.0, 905
34.6, 911
40.2, 944
40.4, 1000
40.6, 976
60.1, 581

Structural model:
Cell lengths 9.1529, 5.3527, 12.7213 Å; angles 90.00, 104.25, 90.00 degrees
Space group C2/c (No. 15)
Inequivalent atoms, fractional coordinates:
Ta 0.0482 0.0848 0.3813 (multiplicity 8)
P 0.0000 0.4414 0.2500 (multiplicity 4)
P 0.1794 0.1000 0.7472 (multiplicity 8)
W 0.1203 0.4356 0.6008 (multiplicity 8)
W 0.2093 0.4083 0.9014 (multiplicity 8)
N 0.0717 0.2235 0.9997 (multiplicity 8)
N 0.2500 0.2500 0.5000 (multiplicity 4)



Entry 2:
Diffraction record for Y4Ta2P3N3. The X-ray powder pattern is simulated, not measured: it uses a DFT-relaxed cell (PBE, OQMD) and Cu Kα.

Peak list (6 most intense, 2θ = 5–70°, low angle first)
two_theta, I/Imax
29.0, 195
29.6, 312
30.5, 327
36.8, 505
37.0, 1000
52.2, 301

Structural model:
Cell lengths 10.4451, 6.0843, 12.7909 Å; angles 90.00, 105.92, 90.00 degrees
Space group C2/c (No. 15)
Inequivalent atoms, fractional coordinates:
Y 0.1208 0.0776 0.1093 (multiplicity 8)
Y 0.2098 0.0865 0.3907 (multiplicity 8)
Ta 0.0535 0.4158 0.9108 (multiplicity 8)
P 0.0000 0.1303 0.7500 (multiplicity 4)
P 0.1443 0.4382 0.2477 (multiplicity 8)
N 0.0774 0.2672 0.4997 (multiplicity 8)
N 0.2500 0.2500 0.0000 (multiplicity 4)



- Number 1 is which compound?
  Ta2P3W4N3